SrTl2MoF8: theoretical powder diffractogram (Cu Kα (λ = 1.5418 Å)), based on a cell relaxed with PBE+U.
Lines closer than 0.1° are merged.

Cell and atoms:
Lattice parameters (Å, degrees): 4.547 6.574 7.688 89.65 89.88 85.25
Sites, in units of the cell vectors:
Sr: 0.000 0.000 0.000
Tl: 0.494 0.490 0.747
Tl: 0.506 0.510 0.253
Mo: 0.000 0.000 0.500
F: 0.097 0.181 0.709
F: 0.106 0.177 0.298
F: 0.373 0.827 0.497
F: 0.448 0.771 0.998
F: 0.552 0.229 0.002
F: 0.627 0.173 0.503
F: 0.894 0.823 0.702
F: 0.903 0.819 0.291

Principal peaks in the range 10° ≤ 2θ ≤ 90°, in order of rising 2θ:
2theta, I/Imax, (hkl)
22.9, 100.0, 1 1 0
24.8, 85.8, 1 -1 0
26.8, 65.4, 0 1 2
27.0, 64.8, 0 1 -2
27.2, 41.1, 0 2 0
30.5, 60.3, 1 0 2
39.8, 27.9, 2 0 0
40.0, 34.9, 1 2 2
40.3, 34.6, 1 2 -2
47.7, 41.1, 0 3 2